Calculated powder X-ray diffraction pattern
Compound: LiVH2OF5
Radiation: Cu Kα (λ = 1.5418 Å)
Structure: a structure optimized by DFT (PBE+U)
Peak positions follow from Bragg's law for the DFT cell and can differ from measured ones.

Structural model:
a = 5.706 Å, b = 5.706 Å, c = 7.814 Å
α = 92.47°, β = 92.47°, γ = 69.54°
Atoms (fractional coordinates):
Li  0.221  0.221  0.258
Li  0.779  0.779  0.742
V  0.264  0.736  0.500
V  0.727  0.273  0.000
H  0.290  0.638  0.092
H  0.362  0.710  0.908
H  0.626  0.304  0.595
H  0.696  0.374  0.405
O  0.412  0.588  0.000
O  0.575  0.425  0.500
F  0.010  0.990  0.000
F  0.086  0.583  0.624
F  0.180  0.591  0.297
F  0.409  0.820  0.703
F  0.417  0.914  0.376
F  0.519  0.142  0.102
F  0.647  0.153  0.780
F  0.847  0.353  0.220
F  0.858  0.481  0.898
F  0.983  0.017  0.500

The 10 most intense peaks (10° ≤ 2θ ≤ 90°), in order of rising 2θ:
18.96°, 4.681 Å, I = 83
19.86°, 4.472 Å, I = 100
20.42°, 4.349 Å, I = 83
22.79°, 3.902 Å, I = 28
27.41°, 3.254 Å, I = 45
29.02°, 3.077 Å, I = 21
30.59°, 2.923 Å, I = 42
44.07°, 2.055 Å, I = 31
44.27°, 2.046 Å, I = 21
44.55°, 2.034 Å, I = 19